Na14Te9Pb2: theoretical powder X-ray diffraction pattern (a wavelength of 1.5418 Å), based on a crystal structure in Alexandria, relaxed with GGA-PBE.
No peak broadening, texture or thermal motion is included.

Main lines, in order of falling intensity (5° ≤ 2θ ≤ 70°):
- 2θ 20.7, d 4.289, I 100
- 2θ 34.5, d 2.601, I 82
- 2θ 34.1, d 2.632, I 78
- 2θ 13.2, d 6.700, I 67
- 2θ 40.4, d 2.233, I 37
- 2θ 21.0, d 4.223, I 36
- 2θ 49.3, d 1.850, I 28
- 2θ 61.2, d 1.513, I 28
- 2θ 30.8, d 2.904, I 19
- 2θ 40.2, d 2.243, I 17

Crystal structure
```
data_Na14Te9Pb2
_chemical_formula_sum 'Na14 Te9 Pb2'
_symmetry_space_group_name_H-M 'P -3'
_symmetry_Int_Tables_number 147
_cell_length_a 9.1160
_cell_length_b 9.1160
_cell_length_c 12.6695
_cell_angle_alpha 90.00
_cell_angle_beta 90.00
_cell_angle_gamma 120.00
loop_
_symmetry_equiv_pos_as_xyz
'x,y,z'
'-x,-y,-z'
'-y,x-y,z'
'y,-x+y,-z'
'-x+y,-x,z'
'x-y,x,-z'
loop_
_atom_site_label
_atom_site_type_symbol
_atom_site_fract_x
_atom_site_fract_y
_atom_site_fract_z
_atom_site_occupancy
Na1 Na 0.0000 0.0000 0.2489 1
Na2 Na 0.0177 0.6744 0.4106 1
Na3 Na 0.0313 0.3603 0.0903 1
Te1 Te 0.0000 0.0000 0.5000 1
Te2 Te 0.0198 0.3314 0.8396 1
Te3 Te 0.3333 0.6667 0.5075 1
Pb1 Pb 0.3333 0.6667 0.7557 1
```

***

NaTe5Pb4: theoretical powder X-ray diffraction pattern (a wavelength of 1.5418 Å), based on a crystal structure in Alexandria, relaxed with GGA-PBE.
No peak broadening, texture or thermal motion is included.

Main lines, in order of falling intensity (5° ≤ 2θ ≤ 70°):
- 2θ 27.4, d 3.259, I 100
- 2θ 39.3, d 2.294, I 80
- 2θ 27.6, d 3.229, I 49
- 2θ 64.4, d 1.447, I 27
- 2θ 48.2, d 1.888, I 21
- 2θ 48.9, d 1.864, I 21
- 2θ 38.7, d 2.327, I 20
- 2θ 39.5, d 2.283, I 19
- 2θ 64.0, d 1.455, I 18
- 2θ 56.5, d 1.630, I 13

Crystal structure
```
data_NaTe5Pb4
_chemical_formula_sum 'Na2 Te10 Pb8'
_symmetry_space_group_name_H-M 'I m m m'
_symmetry_Int_Tables_number 71
_symmetry_space_group_name_Hall '-I 2 2'
_cell_length_a 4.5652
_cell_length_b 6.4581
_cell_length_c 23.2719
_cell_angle_alpha 90.00
_cell_angle_beta 90.00
_cell_angle_gamma 90.00
loop_
_atom_site_label
_atom_site_type_symbol
_atom_site_fract_x
_atom_site_fract_y
_atom_site_fract_z
_atom_site_occupancy
Na1 Na 0.0000 0.0000 0.0000 1
Te1 Te 0.0000 0.5000 0.0000 1
Te2 Te 0.0000 0.5000 0.1994 1
Te3 Te 0.0000 0.5000 0.3989 1
Pb1 Pb 0.0000 0.0000 0.1955 1
Pb2 Pb 0.0000 0.0000 0.4019 1
```

***

NaTlTe2Pb: theoretical powder X-ray diffraction pattern (a wavelength of 1.5418 Å), based on a crystal structure in Alexandria, relaxed with GGA-PBE.
No peak broadening, texture or thermal motion is included.

Main lines, in order of falling intensity (5° ≤ 2θ ≤ 70°):
- 2θ 32.9, d 2.723, I 100
- 2θ 35.5, d 2.530, I 85
- 2θ 21.0, d 4.225, I 82
- 2θ 30.7, d 2.916, I 63
- 2θ 23.6, d 3.775, I 57
- 2θ 26.0, d 3.431, I 49
- 2θ 29.9, d 2.989, I 48
- 2θ 22.7, d 3.910, I 45
- 2θ 27.5, d 3.239, I 45
- 2θ 47.1, d 1.931, I 38

Crystal structure
```
data_NaTlTe2Pb
_chemical_formula_sum 'Na4 Tl4 Te8 Pb4'
_symmetry_space_group_name_H-M 'C 1 2/m 1'
_symmetry_Int_Tables_number 12
_cell_length_a 17.0509
_cell_length_b 5.0604
_cell_length_c 8.8254
_cell_angle_alpha 90.00
_cell_angle_beta 92.83
_cell_angle_gamma 90.00
loop_
_symmetry_equiv_pos_as_xyz
'x,y,z'
'-x,-y,-z'
'-x,y,-z'
'x,-y,z'
'x+1/2,y+1/2,z'
'-x+1/2,-y+1/2,-z'
'-x+1/2,y+1/2,-z'
'x+1/2,-y+1/2,z'
loop_
_atom_site_label
_atom_site_type_symbol
_atom_site_fract_x
_atom_site_fract_y
_atom_site_fract_z
_atom_site_occupancy
Na1 Na 0.1880 0.0000 0.4228 1
Tl1 Tl 0.2296 0.0000 0.8129 1
Te1 Te 0.1212 0.0000 0.0997 1
Te2 Te 0.1258 0.5000 0.5626 1
Pb1 Pb 0.0365 0.5000 0.2483 1
```

***

NaThPb: theoretical powder X-ray diffraction pattern (a wavelength of 1.5418 Å), based on a crystal structure in Alexandria, relaxed with GGA-PBE.
No peak broadening, texture or thermal motion is included.

Main lines, in order of falling intensity (5° ≤ 2θ ≤ 70°):
- 2θ 30.7, d 2.912, I 100
- 2θ 35.9, d 2.499, I 72
- 2θ 20.8, d 4.276, I 69
- 2θ 33.2, d 2.695, I 32
- 2θ 48.0, d 1.896, I 30
- 2θ 9.6, d 9.182, I 30
- 2θ 61.4, d 1.511, I 29
- 2θ 62.8, d 1.479, I 24
- 2θ 51.0, d 1.791, I 20
- 2θ 19.3, d 4.591, I 15

Crystal structure
```
data_NaThPb
_chemical_formula_sum 'Na6 Th6 Pb6'
_symmetry_space_group_name_H-M 'R -3 m'
_symmetry_Int_Tables_number 166
_symmetry_space_group_name_Hall '-R 3 2"'
_cell_length_a 4.9984
_cell_length_b 4.9984
_cell_length_c 27.5468
_cell_angle_alpha 90.00
_cell_angle_beta 90.00
_cell_angle_gamma 120.00
loop_
_atom_site_label
_atom_site_type_symbol
_atom_site_fract_x
_atom_site_fract_y
_atom_site_fract_z
_atom_site_occupancy
Na1 Na 0.0000 0.0000 0.1397 1
Th1 Th 0.0000 0.0000 0.2935 1
Pb1 Pb 0.0000 0.0000 0.4245 1
```

***

NaTlPb: theoretical powder X-ray diffraction pattern (a wavelength of 1.5418 Å), based on a crystal structure in Alexandria, relaxed with GGA-PBE.
No peak broadening, texture or thermal motion is included.

Main lines, in order of falling intensity (5° ≤ 2θ ≤ 70°):
- 2θ 33.8, d 2.650, I 100
- 2θ 19.3, d 4.591, I 66
- 2θ 41.3, d 2.185, I 65
- 2θ 30.3, d 2.953, I 56
- 2θ 23.1, d 3.858, I 48
- 2θ 40.2, d 2.244, I 46
- 2θ 22.5, d 3.945, I 27
- 2θ 64.8, d 1.438, I 23
- 2θ 63.6, d 1.463, I 21
- 2θ 53.5, d 1.712, I 20

Crystal structure
```
data_NaTlPb
_chemical_formula_sum 'Na2 Tl2 Pb2'
_symmetry_space_group_name_H-M 'P -6 m 2'
_symmetry_Int_Tables_number 187
_symmetry_space_group_name_Hall 'P -6 2'
_cell_length_a 5.3010
_cell_length_b 5.3010
_cell_length_c 7.7151
_cell_angle_alpha 90.00
_cell_angle_beta 90.00
_cell_angle_gamma 120.00
loop_
_atom_site_label
_atom_site_type_symbol
_atom_site_fract_x
_atom_site_fract_y
_atom_site_fract_z
_atom_site_occupancy
Na1 Na 0.0000 0.0000 0.0000 1
Na2 Na 0.0000 0.0000 0.5000 1
Tl1 Tl 0.6667 0.3333 0.2044 1
Pb1 Pb 0.3333 0.6667 0.2926 1
```

***

Na3Tl5Pb: theoretical powder X-ray diffraction pattern (a wavelength of 1.5418 Å), based on a crystal structure in Alexandria, relaxed with GGA-PBE.
No peak broadening, texture or thermal motion is included.

Main lines, in order of falling intensity (5° ≤ 2θ ≤ 70°):
- 2θ 32.8, d 2.732, I 100
- 2θ 28.1, d 3.178, I 65
- 2θ 19.0, d 4.669, I 38
- 2θ 52.7, d 1.736, I 27
- 2θ 29.5, d 3.023, I 24
- 2θ 34.1, d 2.627, I 21
- 2θ 41.9, d 2.154, I 20
- 2θ 46.1, d 1.969, I 17
- 2θ 23.0, d 3.859, I 17
- 2θ 40.1, d 2.247, I 16

Crystal structure
```
data_Na3Tl5Pb
_chemical_formula_sum 'Na12 Tl20 Pb4'
_symmetry_space_group_name_H-M 'I 4/m c m'
_symmetry_Int_Tables_number 140
_symmetry_space_group_name_Hall '-I 4 2c'
_cell_length_a 8.9898
_cell_length_b 8.9898
_cell_length_c 13.7600
_cell_angle_alpha 90.00
_cell_angle_beta 90.00
_cell_angle_gamma 90.00
loop_
_atom_site_label
_atom_site_type_symbol
_atom_site_fract_x
_atom_site_fract_y
_atom_site_fract_z
_atom_site_occupancy
Na1 Na 0.0000 0.0000 0.2500 1
Na2 Na 0.1093 0.3907 0.0000 1
Tl1 Tl 0.0000 0.0000 0.0000 1
Tl2 Tl 0.2106 0.2894 0.3648 1
Pb1 Pb 0.0000 0.5000 0.2500 1
```